The following is a calculated powder diffraction line list of PrTmSi4Os2. It was derived from a cell relaxed with GGA-PBE, using Cu Ka.

Structural model:
```
PrTmSi4Os2
1.0
4.4591 0.0000 0.0000
0.0000 4.1178 0.0000
-1.7095 0.0000 8.0054
Pr Tm Si Os
1 1 4 2
Cartesian
0.0000 0.0000 0.0000 Pr
2.6397 2.0589 4.7620 Tm
-0.1416 2.0589 2.4060 Si
0.4725 0.0000 5.6964 Si
0.4998 2.0589 7.1410 Si
2.8269 0.0000 2.4925 Si
0.6333 0.0000 3.3625 Os
2.0634 2.0589 1.5216 Os
```

The 8 most intense peaks (10° ≤ 2θ ≤ 90°), in order of falling intensity:
- (1 1 -1), d 2.946, I = 1000
- (1 0 2), d 2.682, I = 830
- (0 1 2), d 2.870, I = 780
- (0 0 1), d 8.005, I = 715
- (1 0 -3), d 2.523, I = 552
- (1 1 0), d 2.994, I = 516
- (0 1 3), d 2.239, I = 514
- (0 2 0), d 2.059, I = 397